No. 1
This entry pairs a crystal structure of Na4Np3OsN8 with its simulated X-ray diffraction stick pattern. Radiation: Cu Ka. Structure: a DFT-relaxed cell (PBE, Alexandria).

Structural model:
```
data_Na4Np3OsN8
_space_group_name_H-M_alt 'P 1'
_space_group_IT_number 1
_space_group_name_Hall 'P 1'
_cell_length_a 6.8696
_cell_length_b 6.8696
_cell_length_c 6.8696
_cell_angle_alpha 57.89
_cell_angle_beta 57.89
_cell_angle_gamma 57.89
loop_
_atom_site_label
_atom_site_fract_x
_atom_site_fract_y
_atom_site_fract_z
Na1 0.0000 0.0000 0.0000
Na2 0.0000 0.5000 0.5000
Na3 0.5000 0.0000 0.5000
Na4 0.5000 0.5000 0.0000
Np1 0.0000 0.0000 0.5000
Np2 0.0000 0.5000 0.0000
Np3 0.5000 0.0000 0.0000
Os1 0.5000 0.5000 0.5000
N1 0.2275 0.7312 0.7312
N2 0.2294 0.2294 0.2294
N3 0.2688 0.2688 0.7725
N4 0.2688 0.7725 0.2688
N5 0.7312 0.2275 0.7312
N6 0.7312 0.7312 0.2275
N7 0.7706 0.7706 0.7706
N8 0.7725 0.2688 0.2688
```

Main lines, by angle (2θ from 15° to 90°):
2θ (°)  I_rel
15.56  1000
31.41  223
31.51  484
32.82  563
37.67  591
40.98  215
48.91  183
53.40  201
55.26  196
57.77  206
63.28  105
64.97  247

---

No. 2
This entry pairs a crystal structure of Ce3PaSb4 with its simulated X-ray diffraction stick pattern. Radiation: Cu Ka. Structure: a DFT-relaxed cell (PBE, Alexandria).

Structural model:
```
data_Ce3PaSb4
_space_group_name_H-M_alt 'P 1'
_space_group_IT_number 1
_space_group_name_Hall 'P 1'
_cell_length_a 7.7460
_cell_length_b 8.9325
_cell_length_c 7.7166
_cell_angle_alpha 90.00
_cell_angle_beta 109.53
_cell_angle_gamma 90.00
loop_
_atom_site_label
_atom_site_fract_x
_atom_site_fract_y
_atom_site_fract_z
Ce1 0.0000 0.1244 0.2500
Ce2 0.0000 0.3754 0.7500
Ce3 0.0000 0.6246 0.2500
Ce4 0.0000 0.8756 0.7500
Ce5 0.5000 0.3759 0.2500
Ce6 0.5000 0.6241 0.7500
Pa1 0.5000 0.1253 0.7500
Pa2 0.5000 0.8747 0.2500
Sb1 0.2529 0.3708 0.5036
Sb2 0.2529 0.6292 0.0036
Sb3 0.2568 0.1220 0.9998
Sb4 0.2568 0.8780 0.4998
Sb5 0.7432 0.1220 0.5002
Sb6 0.7432 0.8780 0.0002
Sb7 0.7471 0.3708 0.9964
Sb8 0.7471 0.6292 0.4964
```

Main lines, by angle (2θ from 15° to 90°):
2θ (°)  I_rel
28.27  1000
40.38  511
40.47  254
50.01  206
50.18  68
58.48  128
66.13  176
66.27  176
73.40  108
73.48  87
73.66  65
87.52  43

---

No. 3
This entry pairs a crystal structure of Tb6Ho3Pu with its simulated X-ray diffraction stick pattern. Radiation: Cu Ka. Structure: a DFT-relaxed cell (PBE, Alexandria).

Structural model:
```
data_Tb6Ho3Pu
_space_group_name_H-M_alt 'P 1'
_space_group_IT_number 1
_space_group_name_Hall 'P 1'
_cell_length_a 6.2259
_cell_length_b 6.6896
_cell_length_c 8.3838
_cell_angle_alpha 76.90
_cell_angle_beta 68.22
_cell_angle_gamma 89.98
loop_
_atom_site_label
_atom_site_fract_x
_atom_site_fract_y
_atom_site_fract_z
Tb1 0.0000 0.0000 0.0000
Tb2 0.0250 0.9018 0.6020
Tb3 0.1989 0.3967 0.6048
Tb4 0.2365 0.3012 0.1970
Tb5 0.4323 0.6992 0.8024
Tb6 0.7962 0.5914 0.4043
Ho1 0.4000 0.8046 0.1988
Ho2 0.6306 0.0948 0.4060
Ho3 0.8248 0.4949 0.0019
Pu1 0.5981 0.1995 0.8011
```

Main lines, by angle (2θ from 15° to 90°):
2θ (°)  I_rel
28.68  116
28.79  245
31.68  373
32.85  517
32.95  1000
43.28  158
50.87  199
51.07  98
57.22  316
61.18  229
62.07  167
87.99  87

---

No. 4
This entry pairs a crystal structure of HoTm2Pt3 with its simulated X-ray diffraction stick pattern. Radiation: Cu Ka. Structure: a DFT-relaxed cell (PBE, Alexandria).

Structural model:
```
data_HoTm2Pt3
_space_group_name_H-M_alt 'P 1'
_space_group_IT_number 1
_space_group_name_Hall 'P 1'
_cell_length_a 4.9055
_cell_length_b 14.7232
_cell_length_c 3.4343
_cell_angle_alpha 90.00
_cell_angle_beta 90.00
_cell_angle_gamma 90.00
loop_
_atom_site_label
_atom_site_fract_x
_atom_site_fract_y
_atom_site_fract_z
Ho1 0.2500 0.2500 0.0008
Ho2 0.7500 0.7500 0.9992
Tm1 0.2500 0.5832 0.9996
Tm2 0.2500 0.9168 0.9996
Tm3 0.7500 0.0832 0.0004
Tm4 0.7500 0.4168 0.0004
Pt1 0.2500 0.0813 0.5002
Pt2 0.2500 0.4187 0.5002
Pt3 0.2500 0.7500 0.4988
Pt4 0.7500 0.2500 0.5012
Pt5 0.7500 0.5813 0.4998
Pt6 0.7500 0.9187 0.4998
```

Main lines, by angle (2θ from 15° to 90°):
2θ (°)  I_rel
25.68  6
36.63  507
36.82  1000
52.77  180
53.35  87
66.08  368
66.46  181
77.88  58
78.35  114
89.28  86
89.40  86

---

No. 5
This entry pairs a crystal structure of Er2ZrNi9 with its simulated X-ray diffraction stick pattern. Radiation: Cu Ka. Structure: a DFT-relaxed cell (PBE, Alexandria).

Structural model:
```
data_Er2ZrNi9
_space_group_name_H-M_alt 'P 1'
_space_group_IT_number 1
_space_group_name_Hall 'P 1'
_cell_length_a 4.8810
_cell_length_b 4.8810
_cell_length_c 16.1781
_cell_angle_alpha 90.00
_cell_angle_beta 90.00
_cell_angle_gamma 120.00
loop_
_atom_site_label
_atom_site_fract_x
_atom_site_fract_y
_atom_site_fract_z
Er1 0.3333 0.6667 0.0434
Er2 0.3333 0.6667 0.4566
Er3 0.6667 0.3333 0.5434
Er4 0.6667 0.3333 0.9566
Zr1 0.3333 0.6667 0.2500
Zr2 0.6667 0.3333 0.7500
Ni1 0.0000 0.0000 0.0000
Ni2 0.0000 0.0000 0.2500
Ni3 0.0000 0.0000 0.5000
Ni4 0.0000 0.0000 0.7500
Ni5 0.1670 0.3340 0.6274
Ni6 0.1670 0.3340 0.8726
Ni7 0.1670 0.8330 0.6274
Ni8 0.1670 0.8330 0.8726
Ni9 0.3333 0.6667 0.7500
Ni10 0.3340 0.1670 0.1274
Ni11 0.3340 0.1670 0.3726
Ni12 0.6660 0.8330 0.6274
Ni13 0.6660 0.8330 0.8726
Ni14 0.6667 0.3333 0.2500
Ni15 0.8330 0.1670 0.1274
Ni16 0.8330 0.1670 0.3726
Ni17 0.8330 0.6660 0.1274
Ni18 0.8330 0.6660 0.3726
```

Main lines, by angle (2θ from 15° to 90°):
2θ (°)  I_rel
34.92  859
36.83  583
42.78  153
43.17  367
43.30  1000
44.69  285
46.13  436
65.11  276
68.53  168
69.74  166
70.81  216
78.36  253

---

No. 6
This entry pairs a crystal structure of PrIn2Ni2 with its simulated X-ray diffraction stick pattern. Radiation: Cu Ka. Structure: a DFT-relaxed cell (PBE, Alexandria).

Structural model:
```
data_PrIn2Ni2
_space_group_name_H-M_alt 'P 1'
_space_group_IT_number 1
_space_group_name_Hall 'P 1'
_cell_length_a 5.4373
_cell_length_b 5.4373
_cell_length_c 5.1229
_cell_angle_alpha 103.55
_cell_angle_beta 103.55
_cell_angle_gamma 45.05
loop_
_atom_site_label
_atom_site_fract_x
_atom_site_fract_y
_atom_site_fract_z
Pr1 0.0000 0.0000 0.0000
In1 0.3469 0.3469 0.4177
In2 0.6531 0.6531 0.5823
Ni1 0.2725 0.2725 0.8801
Ni2 0.7275 0.7275 0.1199
```

Main lines, by angle (2θ from 15° to 90°):
2θ (°)  I_rel
27.99  640
28.81  196
30.91  450
35.10  1000
36.24  234
36.28  258
36.85  402
43.45  393
45.57  807
57.84  225
58.25  206
69.28  185

---

No. 7
This entry pairs a crystal structure of Na4InPb7 with its simulated X-ray diffraction stick pattern. Radiation: Cu Ka. Structure: a DFT-relaxed cell (PBE, Alexandria).

Structural model:
```
data_Na4InPb7
_space_group_name_H-M_alt 'P 1'
_space_group_IT_number 1
_space_group_name_Hall 'P 1'
_cell_length_a 5.6936
_cell_length_b 6.3136
_cell_length_c 11.0927
_cell_angle_alpha 102.03
_cell_angle_beta 100.25
_cell_angle_gamma 94.88
loop_
_atom_site_label
_atom_site_fract_x
_atom_site_fract_y
_atom_site_fract_z
Na1 0.0136 0.3876 0.2116
Na2 0.4023 0.2211 0.7069
Na3 0.5977 0.7789 0.2931
Na4 0.9864 0.6124 0.7884
In1 0.5000 0.0000 0.0000
Pb1 0.0364 0.8334 0.0990
Pb2 0.1739 0.0630 0.3976
Pb3 0.2722 0.6464 0.5283
Pb4 0.5000 0.5000 0.0000
Pb5 0.7278 0.3536 0.4717
Pb6 0.8261 0.9370 0.6024
Pb7 0.9636 0.1666 0.9010
```

Main lines, by angle (2θ from 15° to 90°):
2θ (°)  I_rel
16.68  1000
19.46  494
21.88  242
22.93  297
31.60  757
31.73  737
32.22  518
32.53  551
33.56  695
34.47  623
44.45  213
59.87  230

---

No. 8
This entry pairs a crystal structure of La5ErAg6 with its simulated X-ray diffraction stick pattern. Radiation: Cu Ka. Structure: a DFT-relaxed cell (PBE, Alexandria).

Structural model:
```
data_La5ErAg6
_space_group_name_H-M_alt 'P 1'
_space_group_IT_number 1
_space_group_name_Hall 'P 1'
_cell_length_a 5.3678
_cell_length_b 7.5135
_cell_length_c 8.5085
_cell_angle_alpha 90.00
_cell_angle_beta 108.21
_cell_angle_gamma 90.00
loop_
_atom_site_label
_atom_site_fract_x
_atom_site_fract_y
_atom_site_fract_z
La1 0.0000 0.0000 0.0000
La2 0.3293 0.0000 0.6595
La3 0.3340 0.5000 0.6681
La4 0.6660 0.5000 0.3319
La5 0.6707 0.0000 0.3405
Er1 0.0000 0.5000 0.0000
Ag1 0.1594 0.2604 0.3184
Ag2 0.1594 0.7396 0.3184
Ag3 0.5000 0.2649 0.0000
Ag4 0.5000 0.7351 0.0000
Ag5 0.8406 0.2604 0.6816
Ag6 0.8406 0.7396 0.6816
```

Main lines, by angle (2θ from 15° to 90°):
2θ (°)  I_rel
33.26  253
33.39  257
33.53  1000
47.76  90
47.92  89
48.46  85
59.55  88
59.68  179
59.81  91
60.08  173
79.74  75
80.80  71

---

No. 9
This entry pairs a crystal structure of CsTePN2 with its simulated X-ray diffraction stick pattern. Radiation: Cu Ka. Structure: a DFT-relaxed cell (PBE, Alexandria).

Structural model:
```
data_CsTePN2
_space_group_name_H-M_alt 'P 1'
_space_group_IT_number 1
_space_group_name_Hall 'P 1'
_cell_length_a 4.3603
_cell_length_b 4.3603
_cell_length_c 5.1313
_cell_angle_alpha 90.00
_cell_angle_beta 90.00
_cell_angle_gamma 90.00
loop_
_atom_site_label
_atom_site_fract_x
_atom_site_fract_y
_atom_site_fract_z
Cs1 0.0000 0.0000 0.0000
Te1 0.5000 0.5000 0.0000
P1 0.5000 0.5000 0.5000
N1 0.0000 0.5000 0.5000
N2 0.5000 0.0000 0.5000
```

Main lines, by angle (2θ from 15° to 90°):
2θ (°)  I_rel
17.28  758
28.96  799
33.92  1000
34.97  356
41.42  435
45.19  282
46.02  451
55.30  361
62.05  165
70.75  220
71.38  165
78.80  194

---

No. 10
This entry pairs a crystal structure of AcSm2Ni with its simulated X-ray diffraction stick pattern. Radiation: Cu Ka. Structure: a DFT-relaxed cell (PBE, Alexandria).

Structural model:
```
data_AcSm2Ni
_space_group_name_H-M_alt 'P 1'
_space_group_IT_number 1
_space_group_name_Hall 'P 1'
_cell_length_a 9.6147
_cell_length_b 9.6147
_cell_length_c 9.6147
_cell_angle_alpha 24.00
_cell_angle_beta 24.00
_cell_angle_gamma 24.00
loop_
_atom_site_label
_atom_site_fract_x
_atom_site_fract_y
_atom_site_fract_z
Ac1 0.0000 0.0000 0.0000
Sm1 0.5525 0.5525 0.5525
Sm2 0.7763 0.7763 0.7763
Ni1 0.1637 0.1637 0.1637
```

Main lines, by angle (2θ from 15° to 90°):
2θ (°)  I_rel
25.93  229
26.52  213
28.74  1000
30.35  938
34.25  147
36.50  217
45.36  460
49.86  281
54.57  446
55.56  172
74.44  144
77.80  184